Structure and computed X-ray diffraction stick pattern of Al4InAu (DFT lattice parameters and positions (PBE); Cu Ka).
Intensities are scaled so that the largest is 100.

Structure:
```
data_Al4InAu
_space_group_name_H-M_alt 'P 1'
_space_group_IT_number 1
_cell_length_a 5.458
_cell_length_b 5.458
_cell_length_c 5.458
_cell_angle_alpha 60.00
_cell_angle_beta 60.00
_cell_angle_gamma 60.00
loop_
_space_group_symop_operation_xyz
'x,y,z'
loop_
_atom_site_label
_atom_site_fract_x
_atom_site_fract_y
_atom_site_fract_z
_atom_site_occupancy
Al1 0.125 0.125 0.125 1
Al2 0.125 0.125 0.625 1
Al3 0.125 0.625 0.125 1
Al4 0.625 0.125 0.125 1
In1 0.500 0.500 0.500 1
Au1 0.750 0.750 0.750 1
```

Largest 10 diffraction maxima, sorted by position, 10 to 90 degrees two-theta:
19.9 deg, I = 67
32.8 deg, I = 97
38.7 deg, I = 100
51.6 deg, I = 18
58.6 deg, I = 37
62.5 deg, I = 32
68.8 deg, I = 20
72.4 deg, I = 13
78.3 deg, I = 16
81.8 deg, I = 12